For LaPmHo, the GGA-PBE geometry in Alexandria gives the calculated X-ray diffraction stick pattern in this record (Cu Kα (λ = 1.5418 Å)).
Peak positions follow from Bragg's law for the DFT cell and can differ from measured ones.

Structure:
```
3
Lattice="3.6393 0.0000 0.0000 -1.8197 3.1518 0.0000 0.0000 0.0000 8.9256" Properties=species:S:1:pos:R:3 pbc="T T T"
La 0.0000 0.0000 0.0000
Pm 1.8197 1.0506 3.0801
Ho 0.0000 2.1012 5.9618
```

Principal peaks in the range 2θ = 15–90°, by angle:
2θ 30.06, I = 100
2θ 34.85, I = 51
2θ 50.11, I = 36
2θ 59.55, I = 43
2θ 62.49, I = 12
2θ 81.44, I = 9
2θ 81.52, I = 9
2θ 84.07, I = 16

***

For La3Pm5Ho4, the GGA-PBE geometry in Alexandria gives the calculated X-ray diffraction stick pattern in this record (Cu Kα (λ = 1.5418 Å)).
Peak positions follow from Bragg's law for the DFT cell and can differ from measured ones.

Structure:
```
12
Lattice="8.1852 -3.0123 0.0000 8.1852 3.0123 0.0000 -4.1983 0.0000 8.3809" Properties=species:S:1:pos:R:3 pbc="T T T"
La 0.0000 0.0000 0.0000
La 1.5431 0.0000 6.5484
La 10.6290 0.0000 1.8326
Pm -1.6931 0.0000 5.8616
Pm 1.1808 0.0000 3.3034
Pm 8.1852 0.0000 0.0000
Pm 10.9913 0.0000 5.0775
Pm 13.8652 0.0000 2.5194
Ho 4.2252 0.0000 1.1038
Ho 4.5224 0.0000 4.7213
Ho 7.6497 0.0000 3.6596
Ho 7.9469 0.0000 7.2771
```

Principal peaks in the range 2θ = 15–90°, by angle:
2θ 28.65, I = 36
2θ 29.03, I = 46
2θ 29.66, I = 100
2θ 31.24, I = 53
2θ 32.04, I = 74
2θ 32.53, I = 34
2θ 33.34, I = 56
2θ 59.56, I = 29

***

For La5Pm12Ho2, the GGA-PBE geometry in Alexandria gives the calculated X-ray diffraction stick pattern in this record (Cu Kα (λ = 1.5418 Å)).
Peak positions follow from Bragg's law for the DFT cell and can differ from measured ones.

Structure:
```
19
Lattice="9.1116 -5.9523 0.0000 9.1116 5.9523 0.0000 -1.4143 0.0000 6.1288" Properties=species:S:1:pos:R:3 pbc="T T T"
La 0.0000 0.0000 0.0000
La 3.8255 0.0000 0.3280
La 5.0136 0.0000 3.9701
La 11.7953 0.0000 2.1586
La 12.9835 0.0000 5.8008
Pm 5.0957 2.9325 1.8441
Pm 1.5064 0.0000 3.0428
Pm 6.0098 2.9090 5.4096
Pm 10.7992 2.9090 0.7192
Pm 7.8570 0.0000 1.3864
Pm 11.7133 2.9325 4.2847
Pm 5.0957 -2.9325 1.8441
Pm 8.9519 0.0000 4.7423
Pm 6.0098 -2.9090 5.4096
Pm 10.7992 -2.9090 0.7192
Pm 15.3026 0.0000 3.0860
Pm 11.7133 -2.9325 4.2847
Ho 8.4045 3.2475 3.0644
Ho 8.4045 -3.2475 3.0644
```

Principal peaks in the range 2θ = 15–90°, by angle:
2θ 27.09, I = 30
2θ 29.41, I = 21
2θ 30.03, I = 57
2θ 30.45, I = 21
2θ 31.26, I = 100
2θ 32.39, I = 46
2θ 34.05, I = 19
2θ 54.09, I = 20

***

For LaPm7Ho12, the GGA-PBE geometry in Alexandria gives the calculated X-ray diffraction stick pattern in this record (Cu Kα (λ = 1.5418 Å)).
Peak positions follow from Bragg's law for the DFT cell and can differ from measured ones.

Structure:
```
20
Lattice="6.1234 3.5353 5.1424 -6.1234 3.5353 5.1424 0.0000 -7.0707 5.1424" Properties=species:S:1:pos:R:3 pbc="T T T"
La 0.0000 0.0000 0.0000
Pm -3.9093 1.4036 3.9216
Pm 0.7390 -4.0873 3.9216
Pm -3.1702 -2.6837 11.5056
Pm 0.0000 0.0000 7.7136
Pm 3.1702 2.6837 3.9216
Pm -0.7390 4.0873 11.5056
Pm 3.9093 -1.4036 11.5056
Ho -1.4115 -1.5145 4.6611
Ho -2.5087 -2.3531 8.3057
Ho -3.2922 0.9961 7.1215
Ho -0.6059 1.9796 4.6611
Ho 0.7835 -3.3492 7.1215
Ho 2.0174 -0.4651 4.6611
Ho -2.0174 0.4651 10.7661
Ho -0.7835 3.3492 8.3057
Ho 0.6059 -1.9797 10.7661
Ho 3.2922 -0.9961 8.3057
Ho 2.5088 2.3531 7.1215
Ho 1.4115 1.5145 10.7661
```

Principal peaks in the range 2θ = 15–90°, by angle:
2θ 30.17, I = 28
2θ 30.69, I = 25
2θ 30.95, I = 100
2θ 32.21, I = 52
2θ 32.58, I = 49
2θ 33.60, I = 27
2θ 53.25, I = 16
2θ 53.96, I = 25

***

For La2Pm15Ho2, the GGA-PBE geometry in Alexandria gives the calculated X-ray diffraction stick pattern in this record (Cu Kα (λ = 1.5418 Å)).
Peak positions follow from Bragg's law for the DFT cell and can differ from measured ones.

Structure:
```
19
Lattice="5.7226 3.3039 5.9888 -5.7226 3.3039 5.9888 0.0000 -6.6078 5.9888" Properties=species:S:1:pos:R:3 pbc="T T T"
La 0.0000 0.0000 3.1651
La 0.0000 0.0000 14.8013
Pm -2.8613 -1.6520 5.9888
Pm 0.0000 -3.4426 5.4542
Pm -2.9814 1.7213 5.4542
Pm -1.6815 -2.9125 8.9832
Pm -3.3631 0.0000 8.9832
Pm -2.9814 -1.7213 12.5122
Pm -2.8613 1.6520 11.9776
Pm 1.6816 -2.9125 8.9832
Pm 0.0000 3.3039 5.9888
Pm -1.6816 2.9125 8.9832
Pm 2.9814 1.7213 5.4542
Pm 3.3631 0.0000 8.9832
Pm 1.6816 2.9125 8.9832
Pm 2.9814 -1.7213 12.5122
Pm 0.0000 3.4426 12.5122
Ho 0.0000 0.0000 7.2961
Ho 0.0000 0.0000 10.6703
```

Principal peaks in the range 2θ = 15–90°, by angle:
2θ 26.79, I = 34
2θ 26.99, I = 31
2θ 29.84, I = 28
2θ 30.73, I = 66
2θ 30.91, I = 100
2θ 31.26, I = 64
2θ 34.75, I = 73
2θ 55.64, I = 26

***

For La7PmHo12, the GGA-PBE geometry in Alexandria gives the calculated X-ray diffraction stick pattern in this record (Cu Kα (λ = 1.5418 Å)).
Peak positions follow from Bragg's law for the DFT cell and can differ from measured ones.

Structure:
```
20
Lattice="6.0384 3.4863 5.4368 -6.0384 3.4863 5.4368 0.0000 -6.9725 5.4368" Properties=species:S:1:pos:R:3 pbc="T T T"
La 0.0000 0.0000 0.0000
La -1.3990 -1.3701 4.6685
La -0.4870 1.8966 4.6685
La 1.8860 -0.5266 4.6685
La -1.8860 0.5265 11.6418
La 0.4870 -1.8966 11.6418
La 1.3990 1.3701 11.6418
Pm 0.0000 0.0000 8.1552
Ho -2.1888 -4.8580 6.7945
Ho -5.3015 -0.5335 9.5159
Ho -3.1979 0.9357 7.2587
Ho -2.4092 -2.3016 9.0516
Ho 0.7886 -3.2373 7.2587
Ho -3.1128 4.3245 6.7945
Ho 3.1128 -4.3245 9.5159
Ho -0.7886 3.2373 9.0516
Ho 2.4092 2.3016 7.2587
Ho 3.1979 -0.9357 9.0516
Ho 5.3016 0.5335 6.7945
Ho 2.1888 4.8580 9.5159
```

Principal peaks in the range 2θ = 15–90°, by angle:
2θ 28.67, I = 24
2θ 30.46, I = 37
2θ 31.32, I = 100
2θ 31.52, I = 46
2θ 32.35, I = 20
2θ 32.77, I = 49
2θ 41.67, I = 16
2θ 54.82, I = 17

***

For LaPm3Ho4, the GGA-PBE geometry in Alexandria gives the calculated X-ray diffraction stick pattern in this record (Cu Kα (λ = 1.5418 Å)).
Peak positions follow from Bragg's law for the DFT cell and can differ from measured ones.

Structure:
```
8
Lattice="3.6266 0.0000 0.0000 0.0000 10.0533 0.0000 -0.0082 0.0000 7.2463" Properties=species:S:1:pos:R:3 pbc="T T T"
La 0.0000 0.0000 0.0000
Pm -0.0041 0.0000 3.6231
Pm 0.0000 5.0267 0.0000
Pm -0.0041 5.0267 3.6231
Ho 1.8117 2.5345 1.8241
Ho 1.8067 2.5345 5.4222
Ho 1.8117 7.5188 1.8241
Ho 1.8067 7.5188 5.4222
```

Principal peaks in the range 2θ = 15–90°, by angle:
2θ 30.40, I = 100
2θ 35.01, I = 34
2θ 35.72, I = 16
2θ 50.88, I = 24
2θ 59.93, I = 15
2θ 59.98, I = 15
2θ 60.91, I = 14
2θ 63.26, I = 12

***

For La5Pm8Ho, the GGA-PBE geometry in Alexandria gives the calculated X-ray diffraction stick pattern in this record (Cu Kα (λ = 1.5418 Å)).
Peak positions follow from Bragg's law for the DFT cell and can differ from measured ones.

Structure:
```
14
Lattice="-4.9193 4.9193 5.1471 4.9193 -4.9193 5.1471 4.9193 4.9193 -5.1471" Properties=species:S:1:pos:R:3 pbc="T T T"
La 0.0000 0.0000 0.0000
La 3.8619 2.8070 -0.8039
La 2.1123 -1.0574 5.9510
La 1.0574 2.1123 4.3432
La 2.8070 5.9767 0.8039
Pm 1.7812 -0.7768 2.5117
Pm 3.1380 5.6961 -2.6354
Pm 0.7038 3.2332 0.9906
Pm 4.1425 3.1380 2.6354
Pm -0.7038 6.6054 0.9906
Pm -1.6861 4.2155 4.1565
Pm 0.7768 1.7812 7.7824
Pm 1.6861 5.6231 4.1565
Ho 4.9193 0.0000 2.5735
```

Principal peaks in the range 2θ = 15–90°, by angle:
2θ 27.53, I = 78
2θ 28.57, I = 79
2θ 28.69, I = 91
2θ 31.03, I = 27
2θ 33.11, I = 100
2θ 33.66, I = 58
2θ 33.99, I = 62
2θ 61.74, I = 24